The following is a simulated powder diffraction line list of TmInAu. It was derived from DFT lattice parameters and positions (PBE), using CuKα.

Structural model:
Cell: 7.6800 7.6800 3.9884 Å, 90.00 90.00 120.00°
Atoms (fractional coordinates):
Tm1 0.0000 0.4055 0.0000
Tm2 0.4055 0.0000 0.0000
Tm3 0.5945 0.5945 0.0000
In1 0.0000 0.7390 0.5000
In2 0.2610 0.2610 0.5000
In3 0.7390 0.0000 0.5000
Au1 0.0000 0.0000 0.0000
Au2 0.3333 0.6667 0.5000
Au3 0.6667 0.3333 0.5000

Largest 6 diffraction maxima, most intense first, 15 to 90 degrees two-theta:
2θ = 35.1°, rel. 100; 2θ = 32.4°, rel. 83; 2θ = 40.7°, rel. 51; 2θ = 42.5°, rel. 38; 2θ = 65.5°, rel. 35; 2θ = 35.7°, rel. 32



The following is a simulated powder diffraction line list of SrLi2Cu9. It was derived from DFT lattice parameters and positions (PBE), using CuKα.

Structural model:
Cell: 8.4470 8.4470 4.9742 Å, 90.00 90.00 90.00°
Atoms (fractional coordinates):
Sr1 0.0000 0.0000 0.0000
Sr2 0.5000 0.5000 0.0000
Li1 0.1146 0.3854 0.0000
Li2 0.3854 0.8854 0.0000
Li3 0.6146 0.1146 0.0000
Li4 0.8854 0.6146 0.0000
Cu1 0.0000 0.5000 0.5000
Cu2 0.0650 0.2133 0.5000
Cu3 0.1786 0.6786 0.2459
Cu4 0.1786 0.6786 0.7541
Cu5 0.2133 0.9350 0.5000
Cu6 0.2867 0.4350 0.5000
Cu7 0.3214 0.1786 0.2459
Cu8 0.3214 0.1786 0.7541
Cu9 0.4350 0.7133 0.5000
Cu10 0.5000 0.0000 0.5000
Cu11 0.5650 0.2867 0.5000
Cu12 0.6786 0.8214 0.2459
Cu13 0.6786 0.8214 0.7541
Cu14 0.7133 0.5650 0.5000
Cu15 0.7867 0.0650 0.5000
Cu16 0.8214 0.3214 0.2459
Cu17 0.8214 0.3214 0.7541
Cu18 0.9350 0.7867 0.5000

Largest 6 diffraction maxima, most intense first, 15 to 90 degrees two-theta:
2θ = 44.2°, rel. 100; 2θ = 38.2°, rel. 95; 2θ = 43.6°, rel. 88; 2θ = 17.8°, rel. 85; 2θ = 42.2°, rel. 59; 2θ = 35.0°, rel. 40



The following is a simulated powder diffraction line list of Tb2Sm2Y6Er. It was derived from DFT lattice parameters and positions (PBE), using CuKα.

Structural model:
Cell: 6.6620 6.6620 10.5754 Å, 90.03 90.03 129.55°
Atoms (fractional coordinates):
Tb1 0.2072 0.7928 0.0000
Tb2 0.7928 0.2072 0.0000
Sm1 0.1333 0.8667 0.5000
Sm2 0.8667 0.1333 0.5000
Y1 0.0008 0.0008 0.7966
Y2 0.3469 0.6516 0.2934
Y3 0.3484 0.6531 0.7066
Y4 0.6516 0.3469 0.2934
Y5 0.6531 0.3484 0.7066
Y6 0.9992 0.9992 0.2034
Er1 0.5000 0.5000 0.0000

Largest 6 diffraction maxima, most intense first, 15 to 90 degrees two-theta:
2θ = 32.1°, rel. 100; 2θ = 31.5°, rel. 39; 2θ = 30.8°, rel. 31; 2θ = 56.5°, rel. 26; 2θ = 30.9°, rel. 25; 2θ = 33.9°, rel. 19



The following is a simulated powder diffraction line list of AcSc2F8. It was derived from DFT lattice parameters and positions (PBE), using CuKα.

Structural model:
Cell: 7.5774 7.5774 4.1043 Å, 90.00 90.00 120.00°
Atoms (fractional coordinates):
Ac1 0.0000 0.0000 0.0000
Sc1 0.3333 0.6667 0.8014
Sc2 0.6667 0.3333 0.1986
F1 0.1826 0.3688 0.8069
F2 0.1862 0.8174 0.8069
F3 0.3333 0.6667 0.3041
F4 0.3688 0.1862 0.1931
F5 0.6312 0.8138 0.8069
F6 0.6667 0.3333 0.6959
F7 0.8138 0.1826 0.1931
F8 0.8174 0.6312 0.1931

Largest 6 diffraction maxima, most intense first, 15 to 90 degrees two-theta:
2θ = 23.5°, rel. 100; 2θ = 25.6°, rel. 85; 2θ = 42.6°, rel. 47; 2θ = 32.2°, rel. 45; 2θ = 21.7°, rel. 31; 2θ = 35.0°, rel. 29



The following is a simulated powder diffraction line list of LaEr3As4. It was derived from DFT lattice parameters and positions (PBE), using CuKα.

Structural model:
Cell: 7.2016 7.2016 4.1613 Å, 90.00 90.00 109.42°
Atoms (fractional coordinates):
La1 0.0000 0.0000 0.0000
Er1 0.0000 0.5000 0.5000
Er2 0.5000 0.0000 0.5000
Er3 0.5000 0.5000 0.0000
As1 0.2552 0.7448 0.0000
As2 0.2606 0.2606 0.5000
As3 0.7394 0.7394 0.5000
As4 0.7448 0.2552 0.0000

Largest 6 diffraction maxima, most intense first, 15 to 90 degrees two-theta:
2θ = 30.4°, rel. 100; 2θ = 43.5°, rel. 75; 2θ = 71.8°, rel. 33; 2θ = 54.0°, rel. 26; 2θ = 79.9°, rel. 25; 2θ = 26.2°, rel. 22



The following is a simulated powder diffraction line list of PmTh2Ir2. It was derived from DFT lattice parameters and positions (PBE), using CuKα.

Structural model:
Cell: 7.9569 7.9569 3.9096 Å, 90.00 90.00 90.00°
Atoms (fractional coordinates):
Pm1 0.0000 0.0000 0.0000
Pm2 0.5000 0.5000 0.0000
Th1 0.1642 0.3358 0.5000
Th2 0.3358 0.8358 0.5000
Th3 0.6642 0.1642 0.5000
Th4 0.8358 0.6642 0.5000
Ir1 0.1351 0.6351 0.0000
Ir2 0.3649 0.1351 0.0000
Ir3 0.6351 0.8649 0.0000
Ir4 0.8649 0.3649 0.0000

Largest 6 diffraction maxima, most intense first, 15 to 90 degrees two-theta:
2θ = 34.1°, rel. 100; 2θ = 35.7°, rel. 39; 2θ = 59.9°, rel. 18; 2θ = 67.8°, rel. 18; 2θ = 32.1°, rel. 15; 2θ = 46.5°, rel. 13